No. 1
Structure and computed powder diffraction line list of Al2V4Tc (a structure optimized by DFT (GGA-PBE); Cu Ka).
Lines closer than 0.1° are merged.

Most intense lines, 10 to 90 degrees two-theta, in order of rising 2θ:
h k l  d (Å)  Rel. int.
1 0 1  3.676  14
0 1 2  3.469  34
0 1 5  2.611  4
1 1 0  2.167  100
1 0 7  2.135  91
0 0 9  2.019  5
2 0 2  1.838  5
0 2 7  1.521  29
1 1 9  1.477  10
3 0 0  1.251  15
2 1 7  1.245  28
0 1 14  1.227  12

Atomic structure:
Lattice parameters (Å, degrees): 4.3344 4.3344 18.1718 90.00 90.00 120.00
Space group R-3m (No. 166, hexagonal axes)
Symmetry-distinct sites (fractional):
1 Al 0.0000 0.0000 0.2162 [6 per cell]
2 V 0.0000 0.0000 0.0650 [6 per cell]
3 V 0.0000 0.0000 0.3642 [6 per cell]
4 Tc 0.0000 0.0000 0.5000 [3 per cell]

No. 2
Structure and computed powder diffraction line list of AlV4Tc5 (a structure optimized by DFT (GGA-PBE); Cu Ka).
Lines closer than 0.1° are merged.

Most intense lines, 10 to 90 degrees two-theta, in order of rising 2θ:
h k l  d (Å)  Rel. int.
0 0 2  7.590  1
1 0 0  3.033  19
1 1 0  2.144  100
1 1 5  1.751  5
0 0 10  1.518  5
2 0 0  1.515  11
2 0 5  1.357  4
2 1 0  1.355  2
2 1 5  1.238  31

Atomic structure:
Lattice parameters (Å, degrees): 3.031 3.031 15.181 90.00 90.00 90.00
Space group P4/mmm (No. 123)
Symmetry-distinct sites (fractional):
1 Al 0.000 0.000 0.000 [1 per cell]
2 V 0.000 0.000 0.198 [2 per cell]
3 V 0.000 0.000 0.399 [2 per cell]
4 Tc 0.500 0.500 0.106 [2 per cell]
5 Tc 0.500 0.500 0.302 [2 per cell]
6 Tc 0.500 0.500 0.500 [1 per cell]

Repeat the second record exactly.
Structure and computed powder diffraction line list of AlV4Tc5 (a structure optimized by DFT (GGA-PBE); Cu Ka).
Lines closer than 0.1° are merged.

Most intense lines, 10 to 90 degrees two-theta, in order of rising 2θ:
h k l  d (Å)  Rel. int.
0 0 2  7.590  1
1 0 0  3.033  19
1 1 0  2.144  100
1 1 5  1.751  5
0 0 10  1.518  5
2 0 0  1.515  11
2 0 5  1.357  4
2 1 0  1.355  2
2 1 5  1.238  31

Atomic structure:
Lattice parameters (Å, degrees): 3.031 3.031 15.181 90.00 90.00 90.00
Space group P4/mmm (No. 123)
Symmetry-distinct sites (fractional):
1 Al 0.000 0.000 0.000 [1 per cell]
2 V 0.000 0.000 0.198 [2 per cell]
3 V 0.000 0.000 0.399 [2 per cell]
4 Tc 0.500 0.500 0.106 [2 per cell]
5 Tc 0.500 0.500 0.302 [2 per cell]
6 Tc 0.500 0.500 0.500 [1 per cell]